No. 1
# TbCoAsH2
Calculated PXRD pattern, Cu Kα. Input: a PBE-relaxed structure.

The 12 most intense peaks (2θ from 10° to 90°), low angle first:
- d 3.052, rel. 100
- d 2.614, rel. 33
- d 2.530, rel. 18
- d 2.510, rel. 21
- d 2.337, rel. 42
- d 2.322, rel. 82
- d 2.307, rel. 59
- d 1.879, rel. 25
- d 1.581, rel. 25
- d 1.539, rel. 17
- d 1.526, rel. 25
- d 1.464, rel. 19

Cell and atoms:
```
TbCoAsH2
1.0
1.8793 -5.0590 0.0000
1.8793 5.0590 0.0000
0.0000 0.0000 6.1053
Tb Co As H
2 2 2 4
direct
0.2157 0.7843 0.7500
0.7843 0.2157 0.2500
0.5000 0.5000 0.0000
0.5000 0.5000 0.5000
0.0628 0.9372 0.2500
0.9372 0.0628 0.7500
0.3422 0.6578 0.0558
0.3422 0.6578 0.4442
0.6578 0.3422 0.5558
0.6578 0.3422 0.9442
```

No. 2
# CoHgAs2
Calculated PXRD pattern, Cu Kα. Input: a PBE-relaxed structure.

The 12 most intense peaks (2θ from 10° to 90°), low angle first:
- d 3.446, rel. 21
- d 3.145, rel. 31
- d 3.041, rel. 14
- d 2.710, rel. 100
- d 2.522, rel. 45
- d 2.006, rel. 19
- d 1.837, rel. 41
- d 1.734, rel. 22
- d 1.621, rel. 14
- d 1.521, rel. 17
- d 1.435, rel. 18
- d 1.171, rel. 15

Cell and atoms:
```
CoHgAs2
1.0
1.8372 1.0607 6.8915
-1.8372 1.0607 6.8915
0.0000 -2.1214 6.8915
Co Hg As
1 1 2
direct
0.0000 0.0000 0.0000
0.5000 0.5000 0.5000
0.2828 0.2828 0.2828
0.7172 0.7172 0.7172
```

No. 3
# InCoAs
Calculated PXRD pattern, Cu Kα. Input: a PBE-relaxed structure.

The 12 most intense peaks (2θ from 10° to 90°), low angle first:
- d 4.161, rel. 24
- d 3.075, rel. 12
- d 2.825, rel. 16
- d 2.701, rel. 22
- d 2.621, rel. 100
- d 2.109, rel. 13
- d 2.081, rel. 29
- d 2.043, rel. 14
- d 1.752, rel. 18
- d 1.687, rel. 12
- d 1.673, rel. 13
- d 1.589, rel. 16

Cell and atoms:
```
InCoAs
1.0
6.5812 0.0000 0.0000
0.0000 6.1505 0.0000
-3.1226 0.0000 5.7935
In Co As
4 4 4
direct
0.1413 0.0000 0.1088
0.3594 0.4997 0.3908
0.6406 0.9997 0.6092
0.8587 0.5000 0.8912
0.0289 0.2171 0.7194
0.4690 0.7167 0.7794
0.5310 0.2167 0.2206
0.9711 0.7171 0.2806
0.1427 0.9131 0.6072
0.3566 0.4121 0.8933
0.6434 0.9121 0.1067
0.8573 0.4131 0.3928
```

No. 4
# InCoNiAs
Calculated PXRD pattern, Cu Kα. Input: a PBE-relaxed structure.

The 12 most intense peaks (2θ from 10° to 90°), low angle first:
- d 6.810, rel. 14
- d 3.405, rel. 23
- d 2.992, rel. 41
- d 2.541, rel. 13
- d 2.168, rel. 65
- d 2.036, rel. 100
- d 1.829, rel. 15
- d 1.533, rel. 21
- d 1.364, rel. 7
- d 1.357, rel. 8
- d 1.225, rel. 36
- d 1.153, rel. 12

Cell and atoms:
```
InCoNiAs
1.0
-1.5332 1.5332 6.8099
1.5332 -1.5332 6.8099
1.5332 1.5332 -6.8099
In Co Ni As
1 1 1 1
direct
0.0000 0.0000 0.0000
0.7818 0.7818 0.0000
0.3911 0.3911 0.0000
0.2059 0.2059 0.0000
```

No. 5
# Pa2Co4As3Ir
Calculated PXRD pattern, Cu Kα. Input: a PBE-relaxed structure.

The 12 most intense peaks (2θ from 10° to 90°), low angle first:
- d 3.593, rel. 23
- d 2.676, rel. 15
- d 2.606, rel. 51
- d 2.409, rel. 100
- d 1.907, rel. 39
- d 1.867, rel. 25
- d 1.553, rel. 12
- d 1.539, rel. 21
- d 1.488, rel. 14
- d 1.349, rel. 12
- d 1.334, rel. 16
- d 1.177, rel. 21

Cell and atoms:
```
Pa2Co4As3Ir
1.0
3.8148 0.0000 0.0000
0.0000 3.8148 0.0000
0.0000 0.0000 10.7057
Pa Co As Ir
2 4 3 1
direct
0.0000 0.5000 0.2392
0.5000 0.0000 0.7608
0.0000 0.0000 0.5000
0.0000 0.5000 0.8350
0.5000 0.0000 0.1650
0.5000 0.5000 0.5000
0.0000 0.0000 0.0000
0.0000 0.5000 0.6230
0.5000 0.0000 0.3770
0.5000 0.5000 0.0000
```